[1]
The following is a theoretical PXRD pattern of Tl2CuC2O6. It was derived from a cell relaxed with PBE, using Cu Kα (weighted mean of Kα1 and Kα2).

```
data_Tl2CuC2O6
_chemical_formula_sum 'Tl8 Cu4 C8 O24'
_cell_length_a 7.793
_cell_length_b 10.049
_cell_length_c 9.378
_cell_angle_alpha 90.00
_cell_angle_beta 111.04
_cell_angle_gamma 90.00
_symmetry_space_group_name_H-M 'P 1 21/c 1'
_symmetry_Int_Tables_number 14
loop_
_symmetry_equiv_pos_as_xyz
'x,y,z'
'-x,-y,-z'
'-x,y+1/2,-z+1/2'
'x,-y+1/2,z+1/2'
loop_
_atom_site_label
_atom_site_type_symbol
_atom_site_fract_x
_atom_site_fract_y
_atom_site_fract_z
Tl1 Tl 0.116 0.215 0.026
Tl2 Tl 0.275 0.607 0.359
Cu1 Cu 0.465 0.108 0.427
C1 C 0.144 0.547 0.902
C2 C 0.479 0.117 0.746
O1 O 0.025 0.081 0.658
O2 O 0.196 0.069 0.365
O3 O 0.262 0.628 0.997
O4 O 0.448 0.170 0.858
O5 O 0.459 0.187 0.623
O6 O 0.471 0.008 0.244
```

Most intense lines, 2θ from 15° to 90°, by angle:
20.35°, I = 89.9, (0 0 2)
26.47°, I = 60.0, (1 2 -2)
27.14°, I = 100.0, (2 1 -2)
29.03°, I = 88.4, (2 2 -1)
29.36°, I = 68.6, (1 3 0)
38.19°, I = 59.3, (3 1 0)

***

[2]
The following is a theoretical PXRD pattern of TlHg2Pb. It was derived from a cell relaxed with PBE, using Cu Kα (weighted mean of Kα1 and Kα2).

```
data_TlHg2Pb
_chemical_formula_sum 'Tl3 Hg6 Pb3'
_cell_length_a 3.4933
_cell_length_b 3.4933
_cell_length_c 32.8180
_cell_angle_alpha 90.00
_cell_angle_beta 90.00
_cell_angle_gamma 120.00
_symmetry_space_group_name_H-M 'R 3 m'
_symmetry_Int_Tables_number 160
_symmetry_space_group_name_Hall 'R 3 -2"'
loop_
_atom_site_label
_atom_site_type_symbol
_atom_site_fract_x
_atom_site_fract_y
_atom_site_fract_z
Tl1 Tl 0.0000 0.0000 0.0000
Hg1 Hg 0.0000 0.0000 0.4170
Hg2 Hg 0.0000 0.0000 0.5853
Pb1 Pb 0.0000 0.0000 0.8360
```

Most intense lines, 2θ from 15° to 90°, by angle:
30.04°, I = 33.5, (0 1 2)
32.59°, I = 100.0, (0 1 5)
32.75°, I = 47.4, (0 0 12)
35.31°, I = 83.1, (1 0 7)
52.38°, I = 39.0, (1 1 0)
63.14°, I = 60.0, (1 1 12)

***

[3]
The following is a theoretical PXRD pattern of Rb5SnTe5. It was derived from a cell relaxed with PBE, using Cu Kα (weighted mean of Kα1 and Kα2).

```
data_Rb5SnTe5
_chemical_formula_sum 'Rb10 Sn2 Te10'
_cell_length_a 16.677
_cell_length_b 7.015
_cell_length_c 9.925
_cell_angle_alpha 90.00
_cell_angle_beta 109.90
_cell_angle_gamma 90.00
_symmetry_space_group_name_H-M 'C 1 2/m 1'
_symmetry_Int_Tables_number 12
loop_
_symmetry_equiv_pos_as_xyz
'x,y,z'
'-x,-y,-z'
'-x,y,-z'
'x,-y,z'
'x+1/2,y+1/2,z'
'-x+1/2,-y+1/2,-z'
'-x+1/2,y+1/2,-z'
'x+1/2,-y+1/2,z'
loop_
_atom_site_label
_atom_site_type_symbol
_atom_site_fract_x
_atom_site_fract_y
_atom_site_fract_z
Rb1 Rb 0.000 0.000 0.000
Rb2 Rb 0.169 0.500 0.341
Rb3 Rb 0.197 0.500 0.803
Sn1 Sn 0.000 0.000 0.500
Te1 Te 0.000 0.500 0.500
Te2 Te 0.129 0.000 0.364
Te3 Te 0.139 0.000 0.786
```

Most intense lines, 2θ from 15° to 90°, by angle:
24.17°, I = 34.8, (4 0 -2)
25.36°, I = 100.0, (0 2 0)
31.19°, I = 20.6, (5 1 -2)
35.35°, I = 27.1, (4 2 -2)
36.18°, I = 45.9, (2 2 2)
44.78°, I = 12.1, (2 2 -4)

***

[4]
The following is a theoretical PXRD pattern of UCd2Pd8. It was derived from a cell relaxed with PBE, using Cu Kα (weighted mean of Kα1 and Kα2).

```
data_UCd2Pd8
_chemical_formula_sum 'U1 Cd2 Pd8'
_cell_length_a 5.006
_cell_length_b 5.028
_cell_length_c 7.605
_cell_angle_alpha 96.79
_cell_angle_beta 93.42
_cell_angle_gamma 97.69
_symmetry_space_group_name_H-M 'P -1'
_symmetry_Int_Tables_number 2
loop_
_symmetry_equiv_pos_as_xyz
'x,y,z'
'-x,-y,-z'
loop_
_atom_site_label
_atom_site_type_symbol
_atom_site_fract_x
_atom_site_fract_y
_atom_site_fract_z
U1 U 0.000 0.000 0.000
Cd1 Cd 0.399 0.188 0.708
Pd1 Pd 0.069 0.557 0.182
Pd2 Pd 0.159 0.100 0.351
Pd3 Pd 0.266 0.634 0.548
Pd4 Pd 0.466 0.730 0.911
```

Most intense lines, 2θ from 15° to 90°, by angle:
37.39°, I = 100.0, (2 0 -1)
38.09°, I = 98.4, (0 1 -3)
38.33°, I = 99.3, (1 -2 0)
38.84°, I = 96.1, (1 1 2)
43.17°, I = 72.7, (1 2 -1)
44.10°, I = 63.6, (-1 1 3)

***

[5]
The following is a theoretical PXRD pattern of Ti3Sb. It was derived from a cell relaxed with PBE, using Cu Kα (weighted mean of Kα1 and Kα2).

```
data_Ti3Sb
_chemical_formula_sum 'Ti6 Sb2'
_cell_length_a 5.215
_cell_length_b 5.215
_cell_length_c 5.215
_cell_angle_alpha 90.00
_cell_angle_beta 90.00
_cell_angle_gamma 90.00
_symmetry_space_group_name_H-M 'P m -3 n'
_symmetry_Int_Tables_number 223
_symmetry_space_group_name_Hall '-P 4n 2 3'
loop_
_atom_site_label
_atom_site_type_symbol
_atom_site_fract_x
_atom_site_fract_y
_atom_site_fract_z
Ti1 Ti 0.000 0.250 0.500
Sb1 Sb 0.000 0.000 0.000
```

Most intense lines, 2θ from 15° to 90°, by angle:
24.13°, I = 42.1, (1 1 0)
34.39°, I = 45.7, (2 0 0)
38.60°, I = 41.4, (2 1 0)
42.46°, I = 100.0, (2 1 1)
67.16°, I = 48.4, (3 2 1)
82.76°, I = 13.5, (4 2 0)